Entry 1:
Diffraction record for Li4CrW3O12. The X-ray diffraction stick pattern is calculated, not measured: it uses a DFT-relaxed cell (PBE+U, the Materials Project) and a wavelength of 1.5418 Å.

Peak list (8 most intense, 2θ = 10–80°, in order of rising 2θ)
- hkl 1 1 0, 23.66°, 3.760 Å, intensity 100.0
- hkl 0 0 2, 23.76°, 3.744 Å, intensity 49.3
- hkl 1 1 -2, 32.80°, 2.730 Å, intensity 39.4
- hkl 1 -1 2, 32.99°, 2.716 Å, intensity 19.3
- hkl -1 1 2, 34.58°, 2.594 Å, intensity 27.9
- hkl 2 0 -2, 42.31°, 2.136 Å, intensity 15.5
- hkl 2 2 0, 48.42°, 1.880 Å, intensity 18.1
- hkl 1 3 0, 53.33°, 1.718 Å, intensity 19.6

Atomic structure:
abc: 5.1821 5.4784 7.5087
angles: 94.15 90.41 90.07
Atoms (fractional coordinates):
1 Li 0.0000 0.0000 0.0000
2 Li 0.0070 0.0438 0.4435
3 Li 0.4946 0.4864 0.9967
4 Li 0.5064 0.4801 0.4671
5 Cr 0.5032 0.0576 0.1946
6 W 0.9995 0.5606 0.7025
7 W 0.0065 0.5608 0.2027
8 W 0.5033 0.0559 0.6961
9 O 0.1265 0.5664 0.4485
10 O 0.1782 0.8681 0.7561
11 O 0.1960 0.2685 0.1343
12 O 0.2957 0.7532 0.1326
13 O 0.3080 0.3833 0.7545
14 O 0.3892 0.0770 0.4531
15 O 0.6185 0.0694 0.9376
16 O 0.6974 0.7397 0.6278
17 O 0.7012 0.3762 0.2464
18 O 0.8204 0.2591 0.6259
19 O 0.8208 0.8653 0.2439
20 O 0.8759 0.5636 0.9417

Entry 2:
Diffraction record for BaCaMnF7. The X-ray diffraction stick pattern is calculated, not measured: it uses a DFT-relaxed cell (PBE+U, the Materials Project) and a wavelength of 1.5418 Å.

Peak list (8 most intense, 2θ = 10–80°, in order of rising 2θ)
- hkl 1 2 -1, 24.12°, 3.689 Å, intensity 100.0
- hkl 1 1 -2, 24.46°, 3.640 Å, intensity 55.7
- hkl 1 2 1, 24.68°, 3.607 Å, intensity 41.8
- hkl 1 1 2, 25.53°, 3.489 Å, intensity 76.2
- hkl 0 1 3, 28.38°, 3.145 Å, intensity 31.8
- hkl 1 4 1, 38.72°, 2.326 Å, intensity 45.9
- hkl 2 2 -2, 38.82°, 2.320 Å, intensity 30.1
- hkl 0 2 4, 40.29°, 2.238 Å, intensity 34.9

Atomic structure:
abc: 5.8904 10.5382 9.8981
angles: 90.00 92.78 90.00
Atoms (fractional coordinates):
1 Ba 0.2206 0.1734 0.4931
2 Ba 0.2206 0.3266 0.9931
3 Ba 0.7794 0.6734 0.0069
4 Ba 0.7794 0.8266 0.5069
5 Ca 0.2058 0.5864 0.3239
6 Ca 0.2058 0.9136 0.8239
7 Ca 0.7942 0.0864 0.1761
8 Ca 0.7942 0.4136 0.6761
9 Mn 0.3088 0.6212 0.6964
10 Mn 0.3088 0.8788 0.1964
11 Mn 0.6912 0.1212 0.8036
12 Mn 0.6912 0.3788 0.3036
13 F 0.0191 0.7191 0.7714
14 F 0.0191 0.7809 0.2714
15 F 0.1128 0.5392 0.1156
16 F 0.1128 0.9608 0.6156
17 F 0.1601 0.0300 0.1366
18 F 0.1601 0.4700 0.6366
19 F 0.2131 0.6977 0.5282
20 F 0.2131 0.8023 0.0282
21 F 0.3820 0.0883 0.8971
22 F 0.3820 0.4117 0.3971
23 F 0.4113 0.5383 0.8556
24 F 0.4113 0.9617 0.3556
25 F 0.4751 0.7291 0.2599
26 F 0.4751 0.7709 0.7599
27 F 0.5249 0.2291 0.2401
28 F 0.5249 0.2709 0.7401
29 F 0.5887 0.0383 0.6444
30 F 0.5887 0.4617 0.1444
31 F 0.6180 0.5883 0.6029
32 F 0.6180 0.9117 0.1029
33 F 0.7869 0.1977 0.9718
34 F 0.7869 0.3023 0.4718
35 F 0.8399 0.5300 0.3634
36 F 0.8399 0.9700 0.8634
37 F 0.8872 0.0392 0.3844
38 F 0.8872 0.4608 0.8844
39 F 0.9809 0.2191 0.7286
40 F 0.9809 0.2809 0.2286

Entry 3:
Diffraction record for MgFe2Si2BiO9. The X-ray diffraction stick pattern is calculated, not measured: it uses a DFT-relaxed cell (PBE+U, the Materials Project) and a wavelength of 1.5418 Å.

Peak list (8 most intense, 2θ = 10–80°, in order of rising 2θ)
- hkl 0 0 1, 10.98°, 8.061 Å, intensity 100.0
- hkl 0 1 -1, 20.68°, 4.294 Å, intensity 90.0
- hkl -1 1 1, 22.27°, 3.992 Å, intensity 64.8
- hkl 1 -1 1, 22.49°, 3.954 Å, intensity 58.4
- hkl 0 1 1, 24.07°, 3.697 Å, intensity 76.9
- hkl 1 0 1, 24.23°, 3.674 Å, intensity 76.5
- hkl 1 0 -2, 26.78°, 3.329 Å, intensity 67.5
- hkl 0 1 -2, 26.92°, 3.312 Å, intensity 67.1

Atomic structure:
abc: 5.2871 5.2940 8.2357
angles: 95.40 96.46 119.34
Atoms (fractional coordinates):
1 Mg 0.0000 0.0000 0.0000
2 Fe 0.3409 0.6656 0.9402
3 Fe 0.6623 0.3458 0.9403
4 Si 0.1241 0.4638 0.3066
5 Si 0.4658 0.1299 0.3071
6 Bi 0.9037 0.9053 0.6467
7 O 0.0376 0.3807 0.1064
8 O 0.2734 0.2516 0.8146
9 O 0.3167 0.3172 0.3817
10 O 0.3181 0.8189 0.3829
11 O 0.3965 0.0592 0.1065
12 O 0.6662 0.9885 0.8183
13 O 0.6860 0.6696 0.0811
14 O 0.8208 0.3198 0.3891
15 O 0.9580 0.6424 0.8176

Question: Which formula does entry 2 have?
Answer: BaCaMnF7